The following is a simulated X-ray diffraction stick pattern of Pr2CrO5. It was derived from a DFT-relaxed cell (PBE+U, Alexandria), using CuKα.
Lines closer than 0.1° are merged.

Cell and atoms:
Cell lengths 10.799, 3.977, 11.317 Å; angles 90.00, 90.00, 90.00 degrees
Space group Pnma (No. 62)
One atom of each set of equivalent atoms:
Pr  0.098  0.250  0.219 x4
Pr  0.140  0.250  0.554 x4
Cr  0.189  0.250  0.871 x4
O  0.012  0.750  0.602 x4
O  0.030  0.250  0.834 x4
O  0.223  0.750  0.231 x4
O  0.225  0.250  0.030 x4
O  0.233  0.750  0.874 x4

Top 8 peaks for 2θ from 10° to 80°, most intense first:
2θ (°)	I (rel.)	hkl
27.86	100	2 1 0
28.87	65	2 0 3
32.72	36	0 1 3
47.29	29	4 1 3
25.00	26	1 0 3
54.91	24	2 2 3
45.63	23	0 2 0
11.33	20	1 0 1